# CsTa2O4
Computed X-ray powder pattern, Cu Kα (weighted mean of Kα1 and Kα2). Input: a cell relaxed with PBE.

Peak list (10 most intense, 10° ≤ 2θ ≤ 80°, most intense first)
Position (°2θ)	Rel. int.
31.1	100
49.7	43
54.4	40
32.5	39
16.1	26
76.7	22
26.4	22
64.8	21
37.7	16
64.0	14

Cell and atoms:
```
CsTa2O4
1.0
0.0000 4.7693 4.7693
4.7693 0.0000 4.7693
4.7693 4.7693 0.0000
Cs Ta O
2 4 8
Direct
0.1250 0.1250 0.1250
0.8750 0.8750 0.8750
0.0000 0.5000 0.5000
0.5000 0.0000 0.5000
0.5000 0.5000 0.0000
0.5000 0.5000 0.5000
0.2801 0.2801 0.2801
0.2801 0.2801 0.6596
0.2801 0.6596 0.2801
0.3404 0.7199 0.7199
0.6596 0.2801 0.2801
0.7199 0.3404 0.7199
0.7199 0.7199 0.3404
0.7199 0.7199 0.7199
```